Record 1
# Rb2H2SBr2
Theoretical X-ray powder pattern, Cu Kα. Input: a GGA-PBE-relaxed structure.

```
Rb2H2SBr2
1.0
4.6349 0.0000 0.0000
1.3529 6.6504 0.0000
1.3576 0.6395 6.8317
Rb H S Br
2 2 1 2
direct
0.0016 0.2612 0.2345
0.9984 0.7388 0.7655
0.4712 0.8575 0.3566
0.5288 0.1425 0.6434
0.5000 0.0000 0.5000
0.4112 0.6921 0.1855
0.5888 0.3079 0.8145
```

The 12 most intense peaks (2θ from 10° to 90°), low angle first:
Position (°2θ)  d [Å]  I/Imax
22.96  3.874  42
26.09  3.416  60
26.93  3.311  60
27.87  3.201  100
28.09  3.177  94
30.10  2.969  79
30.37  2.943  29
30.82  2.901  26
39.62  2.275  78
40.33  2.237  23
49.92  1.827  25
50.97  1.792  25

---

Record 2
# Rb2SrH2Br2
Theoretical X-ray powder pattern, Cu Kα. Input: a GGA-PBE-relaxed structure.

```
Rb2SrH2Br2
1.0
-2.4507 2.4507 9.0684
2.4507 -2.4507 9.0684
2.4507 2.4507 -9.0684
Rb Sr H Br
2 1 2 2
direct
0.1370 0.1370 0.0000
0.8630 0.8630 0.0000
0.5000 0.5000 0.0000
0.0000 0.5000 0.5000
0.5000 0.0000 0.5000
0.3317 0.3317 0.0000
0.6683 0.6683 0.0000
```

The 12 most intense peaks (2θ from 10° to 90°), low angle first:
Position (°2θ)  d [Å]  I/Imax
25.70  3.466  100
29.55  3.023  21
30.66  2.916  43
32.52  2.754  15
36.67  2.451  40
39.56  2.278  37
47.78  1.904  22
48.53  1.876  23
59.12  1.563  14
59.65  1.550  18
67.97  1.379  15
71.62  1.318  15

---

Record 3
# Rb2TlH2Br4
Theoretical X-ray powder pattern, Cu Kα. Input: a GGA-PBE-relaxed structure.

```
Rb2TlH2Br4
1.0
-4.0048 4.0048 4.4740
4.0048 -4.0048 4.4740
4.0048 4.0048 -4.4740
Rb Tl H Br
2 1 2 4
direct
0.2500 0.7500 0.5000
0.7500 0.2500 0.5000
0.0000 0.0000 0.0000
0.1893 0.1893 0.0000
0.8107 0.8107 0.0000
0.2593 0.2593 0.5187
0.2593 0.7407 0.0000
0.7407 0.2593 0.0000
0.7407 0.7407 0.4813
```

The 12 most intense peaks (2θ from 10° to 90°), low angle first:
Position (°2θ)  d [Å]  I/Imax
14.84  5.968  80
19.84  4.474  40
25.37  3.511  98
26.81  3.325  59
29.94  2.984  44
31.59  2.832  100
37.59  2.393  31
40.32  2.237  26
40.95  2.204  54
45.29  2.002  36
52.10  1.755  48
62.23  1.492  29

---

Record 4
# Rb2TlHBr6
Theoretical X-ray powder pattern, Cu Kα. Input: a GGA-PBE-relaxed structure.

```
Rb2TlHBr6
1.0
-3.6690 3.6690 5.9637
3.6690 -3.6690 5.9637
3.6690 3.6690 -5.9637
Rb Tl H Br
2 1 1 6
direct
0.2500 0.7500 0.5000
0.7500 0.2500 0.5000
0.0000 0.0000 0.0000
0.5000 0.5000 0.0000
0.2309 0.2309 0.0000
0.2734 0.2734 0.5469
0.2734 0.7266 0.0000
0.7266 0.2734 0.0000
0.7266 0.7266 0.4531
0.7691 0.7691 0.0000
```

The 12 most intense peaks (2θ from 10° to 90°), low angle first:
Position (°2θ)  d [Å]  I/Imax
14.17  6.250  67
17.09  5.189  32
22.72  3.914  40
28.20  3.164  67
28.56  3.125  96
29.97  2.982  75
34.57  2.594  100
37.54  2.396  29
46.39  1.957  82
47.10  1.930  27
49.71  1.834  38
59.13  1.562  37

---

Record 5
# ReH2Br8
Theoretical X-ray powder pattern, Cu Kα. Input: a GGA-PBE-relaxed structure.

```
ReH2Br8
1.0
6.9574 -4.5606 0.0000
6.9574 4.5606 0.0000
-0.2690 0.0000 5.8336
Re H Br
1 2 8
direct
0.0000 0.0000 0.0000
0.2753 0.2753 0.0559
0.7247 0.7247 0.9441
0.1191 0.7390 0.7467
0.1470 0.1470 0.7704
0.2610 0.8809 0.2533
0.3560 0.3560 0.2236
0.6440 0.6440 0.7764
0.7390 0.1191 0.7467
0.8530 0.8530 0.2296
0.8809 0.2610 0.2533
```

The 12 most intense peaks (2θ from 10° to 90°), low angle first:
Position (°2θ)  d [Å]  I/Imax
11.60  7.626  100
12.74  6.950  45
15.19  5.834  17
18.92  4.691  21
19.44  4.566  22
25.91  3.439  19
27.62  3.229  18
28.28  3.155  69
29.30  3.048  27
39.38  2.288  25
41.28  2.187  16
43.83  2.065  18

---

Record 6
# ReHRuBr2
Theoretical X-ray powder pattern, Cu Kα. Input: a GGA-PBE-relaxed structure.

```
ReHRuBr2
1.0
4.5862 0.0000 0.0000
0.0000 4.5862 0.0000
0.0000 0.0000 3.4553
Re H Ru Br
1 1 1 2
direct
0.0000 0.0000 0.0000
0.0000 0.0000 0.5000
0.5000 0.5000 0.0000
0.0000 0.5000 0.5000
0.5000 0.0000 0.5000
```

The 12 most intense peaks (2θ from 10° to 90°), low angle first:
Position (°2θ)  d [Å]  I/Imax
19.35  4.586  9
25.78  3.455  5
27.50  3.243  9
32.44  2.760  5
38.06  2.365  100
39.29  2.293  46
53.00  1.728  10
56.78  1.621  16
67.93  1.380  18
70.41  1.337  33
81.39  1.182  11
84.50  1.147  5

---

Record 7
# H2RhBr6
Theoretical X-ray powder pattern, Cu Kα. Input: a GGA-PBE-relaxed structure.

```
H2RhBr6
1.0
7.0544 -5.5880 0.0000
7.0544 5.5880 0.0000
-0.2225 0.0000 6.4253
H Rh Br
4 2 12
direct
0.0669 0.1559 0.1418
0.1559 0.0669 0.6418
0.8441 0.9331 0.3582
0.9331 0.8441 0.8582
0.4129 0.5871 0.7500
0.5871 0.4129 0.2500
0.0508 0.2166 0.6393
0.1541 0.6288 0.8854
0.2166 0.0508 0.1393
0.3271 0.4762 0.4189
0.3712 0.8459 0.6146
0.4762 0.3271 0.9189
0.5238 0.6729 0.0811
0.6288 0.1541 0.3854
0.6729 0.5238 0.5811
0.7834 0.9492 0.8607
0.8459 0.3712 0.1146
0.9492 0.7834 0.3607
```

The 12 most intense peaks (2θ from 10° to 90°), low angle first:
Position (°2θ)  d [Å]  I/Imax
10.10  8.758  75
12.56  7.050  49
20.50  4.333  27
21.07  4.216  23
25.26  3.525  35
28.52  3.130  58
30.17  2.962  29
30.99  2.886  50
33.44  2.680  100
42.98  2.104  31
47.12  1.929  17
49.31  1.848  29

---

Record 8
# H2SBr
Theoretical X-ray powder pattern, Cu Kα. Input: a GGA-PBE-relaxed structure.

```
H2SBr
1.0
5.1094 0.0000 0.0000
0.0000 10.9781 0.0000
0.0000 0.0000 7.0387
H S Br
8 4 4
direct
0.0365 0.0775 0.0000
0.1464 0.8091 0.3305
0.3536 0.3091 0.8305
0.4635 0.5775 0.5000
0.5365 0.4225 0.0000
0.6464 0.6909 0.3305
0.8536 0.1909 0.8305
0.9635 0.9225 0.5000
0.0552 0.1107 0.8154
0.4448 0.6107 0.3154
0.5552 0.3893 0.8154
0.9448 0.8893 0.3154
0.1557 0.2719 0.3477
0.3443 0.7719 0.8477
0.6557 0.2281 0.3477
0.8443 0.7281 0.8477
```

The 12 most intense peaks (2θ from 10° to 90°), low angle first:
Position (°2θ)  d [Å]  I/Imax
14.95  5.925  100
16.15  5.489  71
25.31  3.519  61
27.00  3.303  32
27.47  3.247  80
30.16  2.963  32
36.10  2.488  27
41.02  2.200  29
43.17  2.095  18
44.60  2.032  28
45.95  1.975  16
50.50  1.807  18

---

Record 9
# HS8Br2
Theoretical X-ray powder pattern, Cu Kα. Input: a GGA-PBE-relaxed structure.

```
HS8Br2
1.0
5.6808 0.0000 0.0000
0.5159 7.6720 0.0000
0.1180 1.4685 7.7531
H S Br
1 8 2
direct
0.0000 0.0000 0.0000
0.0319 0.3395 0.8608
0.1445 0.4264 0.1992
0.2076 0.8461 0.0828
0.4846 0.8930 0.4481
0.5154 0.1070 0.5519
0.7924 0.1539 0.9172
0.8555 0.5736 0.8008
0.9681 0.6605 0.1392
0.1863 0.7437 0.6235
0.8137 0.2563 0.3765
```

The 12 most intense peaks (2θ from 10° to 90°), low angle first:
Position (°2θ)  d [Å]  I/Imax
14.79  5.990  29
15.63  5.668  34
19.39  4.578  26
20.21  4.394  100
23.78  3.742  93
24.29  3.664  31
27.84  3.204  55
28.11  3.174  21
31.62  2.830  31
35.83  2.506  27
38.90  2.315  24
41.89  2.156  22

---

Record 10
# H6S2Br
Theoretical X-ray powder pattern, Cu Kα. Input: a GGA-PBE-relaxed structure.

```
H6S2Br
1.0
0.0000 6.1897 3.7522
5.5596 0.0000 3.7522
5.5596 6.1897 0.0000
H S Br
12 4 2
direct
0.0002 0.7468 0.9735
0.1967 0.5606 0.7852
0.2765 0.9705 0.2498
0.3728 0.6272 0.3920
0.4648 0.7926 0.0533
0.5606 0.1967 0.4574
0.6272 0.3728 0.6080
0.6420 0.8580 0.6228
0.7468 0.0002 0.2795
0.7926 0.4648 0.6894
0.8580 0.6420 0.8772
0.9705 0.2765 0.5032
0.2487 0.7432 0.2875
0.5293 0.9625 0.5068
0.7432 0.2487 0.7207
0.9625 0.5293 0.0013
0.0571 0.0571 0.9429
0.3071 0.3071 0.1929
```

The 12 most intense peaks (2θ from 10° to 90°), low angle first:
Position (°2θ)  d [Å]  I/Imax
15.95  5.558  99
25.91  3.439  72
27.80  3.209  52
28.70  3.110  100
28.85  3.095  52
32.20  2.780  37
34.66  2.588  36
37.56  2.394  17
41.15  2.194  59
43.06  2.101  34
43.77  2.068  26
53.64  1.709  16

---

Record 11
# H6S3Br
Theoretical X-ray powder pattern, Cu Kα. Input: a GGA-PBE-relaxed structure.

```
H6S3Br
1.0
5.6859 3.2828 1.5332
-5.6859 3.2828 1.5332
0.0000 -6.5655 1.5332
H S Br
6 3 1
direct
0.0585 0.4707 0.4707
0.4707 0.0585 0.4707
0.4707 0.4707 0.0585
0.5622 0.5622 0.8453
0.5622 0.8453 0.5622
0.8453 0.5622 0.5622
0.1536 0.7200 0.7200
0.7200 0.1536 0.7200
0.7200 0.7200 0.1536
0.3173 0.3173 0.3173
```

The 12 most intense peaks (2θ from 10° to 90°), low angle first:
Position (°2θ)  d [Å]  I/Imax
15.58  5.686  36
21.32  4.168  13
26.52  3.361  100
27.16  3.283  15
30.90  2.894  47
31.47  2.843  63
40.27  2.240  13
41.61  2.171  23
43.43  2.084  14
53.08  1.725  15
57.15  1.612  17
89.08  1.099  13

---

Record 12
# H4SBr
Theoretical X-ray powder pattern, Cu Kα. Input: a GGA-PBE-relaxed structure.

```
H4SBr
1.0
10.5195 0.0000 0.0000
0.0000 2.3946 3.5340
0.0000 -2.3946 3.5340
H S Br
8 2 2
direct
0.1445 0.2133 0.7867
0.2500 0.4462 0.0876
0.2500 0.4457 0.3084
0.3555 0.2133 0.7867
0.6445 0.7867 0.2133
0.7500 0.0876 0.4462
0.7500 0.3084 0.4457
0.8555 0.7867 0.2133
0.2500 0.4545 0.6958
0.7500 0.6958 0.4545
0.0000 0.8920 0.8920
0.5000 0.8920 0.8920
```

The 12 most intense peaks (2θ from 10° to 90°), low angle first:
Position (°2θ)  d [Å]  I/Imax
16.86  5.260  16
22.42  3.965  52
25.20  3.534  16
28.19  3.166  100
30.47  2.933  49
34.10  2.629  25
41.19  2.192  20
42.80  2.113  25
49.11  1.855  16
55.79  1.648  16
57.47  1.603  12
71.91  1.313  12

---

Record 13
# HSe2SBr
Theoretical X-ray powder pattern, Cu Kα. Input: a GGA-PBE-relaxed structure.

```
HSe2SBr
1.0
3.8505 0.0000 0.0000
0.0000 3.8505 0.0000
0.0000 0.0000 8.2755
H Se S Br
1 2 1 1
direct
0.0000 0.0000 0.0000
0.0000 0.5000 0.0000
0.5000 0.0000 0.0000
0.5000 0.5000 0.5000
0.0000 0.0000 0.5000
```

The 12 most intense peaks (2θ from 10° to 90°), low angle first:
Position (°2θ)  d [Å]  I/Imax
10.69  8.275  10
21.48  4.138  91
34.68  2.586  100
43.76  2.069  13
46.89  1.938  42
47.21  1.925  21
52.42  1.746  30
66.06  1.414  15
66.32  1.409  15
73.19  1.293  11
79.58  1.205  18
87.59  1.114  14